Theoretical powder XRD pattern of Pr2P2AuO for Cu Kα (λ = 1.5418 Å), from a GGA-PBE-relaxed structure.
Intensities are scaled so that the largest is 100.

Principal peaks in the range 15° ≤ 2θ ≤ 90°, sorted by position:
2θ (°)	I/Imax	h k l
17.67	29	2 0 -2
27.39	100	1 1 1
27.73	53	2 0 -3
28.48	81	1 1 -2
30.77	34	4 0 0
31.17	50	3 1 0
35.41	34	0 0 3
35.73	29	6 0 -2
36.06	29	5 1 -2
37.49	87	5 1 -3
42.31	44	0 2 0
45.87	27	6 0 -5

```
data_Pr2P2AuO
_cell_length_a 15.3439
_cell_length_b 4.2719
_cell_length_c 10.0408
_cell_angle_alpha 90.00
_cell_angle_beta 130.75
_cell_angle_gamma 90.00
_space_group_name_H-M_alt 'C 1 2/m 1'
_space_group_IT_number 12
loop_
_space_group_symop_operation_xyz
'x,y,z'
'-x,-y,-z'
'-x,y,-z'
'x,-y,z'
'x+1/2,y+1/2,z'
'-x+1/2,-y+1/2,-z'
'-x+1/2,y+1/2,-z'
'x+1/2,-y+1/2,z'
loop_
_atom_site_label
_atom_site_fract_x
_atom_site_fract_y
_atom_site_fract_z
Pr1 0.1324 0.0000 0.4529
Pr2 0.1721 0.0000 0.1141
P1 0.0484 0.5000 0.1434
P2 0.1476 0.0000 0.7674
Au1 0.0884 0.5000 0.8022
O1 0.2217 0.5000 0.5734
```

=====

Theoretical powder XRD pattern of RbNp3 for Cu Kα (λ = 1.5418 Å), from a GGA-PBE-relaxed structure.
Intensities are scaled so that the largest is 100.

Principal peaks in the range 15° ≤ 2θ ≤ 90°, sorted by position:
2θ (°)	I/Imax	h k l
17.79	9	1 0 0
25.26	8	1 1 0
31.06	100	1 1 1
36.02	51	2 0 0
40.45	5	2 1 0
44.51	4	2 1 1
51.86	37	2 2 0
61.70	44	3 1 1
64.76	13	2 2 2
76.40	6	4 0 0
84.74	19	3 3 1
87.48	18	4 2 0

```
data_RbNp3
_cell_length_a 4.9864
_cell_length_b 4.9864
_cell_length_c 4.9864
_cell_angle_alpha 90.00
_cell_angle_beta 90.00
_cell_angle_gamma 90.00
_space_group_name_H-M_alt 'P m -3 m'
_space_group_IT_number 221
_space_group_name_Hall '-P 4 2 3'
loop_
_atom_site_label
_atom_site_fract_x
_atom_site_fract_y
_atom_site_fract_z
Rb1 0.0000 0.0000 0.0000
Np1 0.0000 0.5000 0.5000
```

=====

Theoretical powder XRD pattern of Sb5Te3O18 for Cu Kα (λ = 1.5418 Å), from a GGA-PBE-relaxed structure.
Intensities are scaled so that the largest is 100.

Principal peaks in the range 15° ≤ 2θ ≤ 90°, sorted by position:
2θ (°)	I/Imax	h k l
20.07	59	3 1 0
20.87	47	3 1 -1
23.31	80	2 2 1
23.50	25	0 2 2
25.82	50	2 2 -2
29.99	29	0 0 4
30.61	28	2 2 -3
31.41	100	5 1 0
32.05	77	1 3 2
32.83	30	4 2 -2
33.34	44	2 0 4
34.99	23	3 1 -4

```
data_Sb5Te3O18
_cell_length_a 14.9286
_cell_length_b 9.8044
_cell_length_c 11.9619
_cell_angle_alpha 90.00
_cell_angle_beta 94.94
_cell_angle_gamma 90.00
_space_group_name_H-M_alt 'C 1 2 1'
_space_group_IT_number 5
loop_
_space_group_symop_operation_xyz
'x,y,z'
'-x,y,-z'
'x+1/2,y+1/2,z'
'-x+1/2,y+1/2,-z'
loop_
_atom_site_label
_atom_site_fract_x
_atom_site_fract_y
_atom_site_fract_z
Sb1 0.0000 0.0000 0.0000
Sb2 0.0000 0.2300 0.5000
Sb3 0.1419 0.8052 0.2173
Sb4 0.1591 0.4073 0.7022
Sb5 0.1805 0.9708 0.4615
Sb6 0.1918 0.2195 0.9530
Te1 0.0247 0.0849 0.7480
Te2 0.1144 0.5842 0.9436
Te3 0.1240 0.6183 0.4642
O1 0.0378 0.8450 0.1080
O2 0.0394 0.2204 0.3445
O3 0.0420 0.1330 0.1265
O4 0.0817 0.3814 0.5598
O5 0.0839 0.5274 0.7862
O6 0.0838 0.6695 0.3084
O7 0.0949 0.0859 0.5399
O8 0.0988 0.9610 0.3167
O9 0.1198 0.0308 0.9381
O10 0.1198 0.2369 0.7826
O11 0.1378 0.8024 0.5309
O12 0.1415 0.4092 0.0088
O13 0.1913 0.6599 0.1193
O14 0.2177 0.5665 0.6209
O15 0.2238 0.6698 0.9061
O16 0.2274 0.5224 0.4117
O17 0.2392 0.8088 0.3647
O18 0.2452 0.9089 0.1652
```

=====

Theoretical powder XRD pattern of LiRuO2 for Cu Kα (λ = 1.5418 Å), from a GGA-PBE-relaxed structure.
Intensities are scaled so that the largest is 100.

Principal peaks in the range 15° ≤ 2θ ≤ 90°, sorted by position:
2θ (°)	I/Imax	h k l
24.75	100	1 1 0
34.81	12	0 2 0
35.75	16	2 0 0
36.65	36	0 1 1
36.88	31	1 0 1
50.75	22	2 2 0
51.62	40	1 2 1
52.13	25	2 1 1
56.61	10	1 3 0
57.90	9	3 1 0
64.97	12	3 0 1
72.78	9	1 1 2

```
data_LiRuO2
_cell_length_a 5.0235
_cell_length_b 5.1546
_cell_length_c 2.7872
_cell_angle_alpha 90.00
_cell_angle_beta 90.00
_cell_angle_gamma 90.00
_space_group_name_H-M_alt 'P n n m'
_space_group_IT_number 58
loop_
_space_group_symop_operation_xyz
'x,y,z'
'-x,-y,-z'
'-x,-y,z'
'x,y,-z'
'x+1/2,-y+1/2,-z+1/2'
'-x+1/2,y+1/2,z+1/2'
'-x+1/2,y+1/2,-z+1/2'
'x+1/2,-y+1/2,z+1/2'
loop_
_atom_site_label
_atom_site_fract_x
_atom_site_fract_y
_atom_site_fract_z
Li1 0.0000 0.0000 0.0000
Ru1 0.0000 0.5000 0.0000
O1 0.1704 0.2482 0.5000
```

=====

Theoretical powder XRD pattern of MnMo6Se8 for Cu Kα (λ = 1.5418 Å), from a GGA-PBE-relaxed structure.
Intensities are scaled so that the largest is 100.

Principal peaks in the range 15° ≤ 2θ ≤ 90°, sorted by position:
2θ (°)	I/Imax	h k l
29.37	21	2 1 1
30.42	29	1 1 3
32.10	31	3 0 0
32.59	55	1 2 2
39.69	88	1 3 1
42.08	38	0 1 5
42.22	24	4 -1 2
43.37	28	3 -1 4
44.81	100	4 -2 3
50.31	37	2 3 2
58.46	29	5 -2 4
82.59	18	8 -3 2

```
data_MnMo6Se8
_cell_length_a 9.6578
_cell_length_b 9.6578
_cell_length_c 11.1092
_cell_angle_alpha 90.00
_cell_angle_beta 90.00
_cell_angle_gamma 120.00
_space_group_name_H-M_alt 'R -3'
_space_group_IT_number 148
_space_group_name_Hall '-R 3'
loop_
_atom_site_label
_atom_site_fract_x
_atom_site_fract_y
_atom_site_fract_z
Mn1 0.0000 0.0000 0.0000
Mo1 0.0209 0.8490 0.3970
Se1 0.0000 0.0000 0.2140
Se2 0.0009 0.3811 0.7477
```